1.
Starting from a crystal structure in Alexandria, relaxed with GGA-PBE, the X-ray diffraction stick pattern of Pm3Pr2Nd was simulated for Cu Kα (weighted mean of Kα1 and Kα2).
Neutral-atom scattering factors, no anomalous dispersion.

Structural model:
Lattice parameters (Å, degrees): 11.021 11.027 6.862 90.00 90.00 90.00
Space group Cmcm (No. 63)
Asymmetric unit:
1 Pm 0.000 0.096 0.250 [4 per cell]
2 Pm 0.250 0.000 0.000 [8 per cell]
3 Pr 0.151 0.250 0.750 [8 per cell]
4 Nd 0.000 0.402 0.250 [4 per cell]

Peak list (8 most intense, 10° ≤ 2θ ≤ 90°, in order of rising 2θ)
hkl 1 3 1, 2θ 28.72, I 100; hkl 2 0 2, 2θ 30.69, I 51; hkl 2 2 2, 2θ 34.84, I 36; hkl 4 2 0, 2θ 36.45, I 51; hkl 1 3 3, 2θ 47.55, I 25; hkl 4 4 2, 2θ 54.12, I 24; hkl 0 6 2, 2θ 56.84, I 26; hkl 4 2 4, 2θ 66.39, I 18



2.
Starting from a crystal structure in Alexandria, relaxed with GGA-PBE, the X-ray diffraction stick pattern of DyCu12Ni6 was simulated for Cu Kα (weighted mean of Kα1 and Kα2).
Neutral-atom scattering factors, no anomalous dispersion.

Structural model:
Lattice parameters (Å, degrees): 10.4265 10.4265 8.1538 90.00 90.00 120.00
Space group R-3m (No. 166, hexagonal axes)
Asymmetric unit:
1 Dy 0.0000 0.0000 0.0000 [3 per cell]
2 Cu 0.0000 0.3884 0.5000 [18 per cell]
3 Cu 0.0863 0.1725 0.2900 [18 per cell]
4 Ni 0.0669 0.5334 0.2369 [18 per cell]

Peak list (8 most intense, 10° ≤ 2θ ≤ 90°, in order of rising 2θ)
hkl 2 1 1, 2θ 28.35, I 40; hkl 1 1 3, 2θ 37.31, I 67; hkl 1 3 1, 2θ 37.57, I 100; hkl 0 3 3, 2θ 44.94, I 50; hkl 3 2 1, 2θ 45.16, I 39; hkl 0 2 4, 2θ 49.03, I 46; hkl 2 3 2, 2θ 49.35, I 45; hkl 5 0 2, 2θ 55.67, I 43



3.
Starting from a crystal structure in Alexandria, relaxed with GGA-PBE, the X-ray diffraction stick pattern of Rb2CdBrCl6 was simulated for Cu Kα (weighted mean of Kα1 and Kα2).
Neutral-atom scattering factors, no anomalous dispersion.

Structural model:
Lattice parameters (Å, degrees): 7.475 7.475 11.762 90.00 90.00 90.00
Space group I4/mmm (No. 139)
Asymmetric unit:
1 Rb 0.000 0.500 0.250 [4 per cell]
2 Cd 0.000 0.000 0.000 [2 per cell]
3 Br 0.000 0.000 0.500 [2 per cell]
4 Cl 0.000 0.000 0.212 [4 per cell]
5 Cl 0.246 0.246 0.500 [8 per cell]

Peak list (8 most intense, 10° ≤ 2θ ≤ 90°, in order of rising 2θ)
hkl 1 1 2, 2θ 22.62, I 100; hkl 2 0 0, 2θ 23.81, I 42; hkl 2 0 2, 2θ 28.29, I 22; hkl 0 0 4, 2θ 30.40, I 40; hkl 2 2 0, 2θ 33.92, I 65; hkl 3 1 2, 2θ 41.15, I 42; hkl 2 2 4, 2θ 46.18, I 46; hkl 4 0 4, 2θ 58.52, I 22



4.
Starting from a crystal structure in Alexandria, relaxed with GGA-PBE, the X-ray diffraction stick pattern of ScReS2 was simulated for Cu Kα (weighted mean of Kα1 and Kα2).
Neutral-atom scattering factors, no anomalous dispersion.

Structural model:
Lattice parameters (Å, degrees): 5.033 5.033 12.703 90.00 90.00 90.00
Space group I-42d (No. 122)
Asymmetric unit:
1 Sc 0.000 0.000 0.000 [4 per cell]
2 Re 0.000 0.000 0.500 [4 per cell]
3 S 0.211 0.250 0.625 [8 per cell]

Peak list (8 most intense, 10° ≤ 2θ ≤ 90°, in order of rising 2θ)
hkl 1 0 1, 2θ 18.97, I 53; hkl 1 0 3, 2θ 27.53, I 15; hkl 1 1 2, 2θ 28.75, I 100; hkl 2 0 0, 2θ 35.68, I 14; hkl 2 0 4, 2θ 46.02, I 40; hkl 1 1 6, 2θ 50.13, I 21; hkl 2 2 0, 2θ 51.34, I 14; hkl 3 1 2, 2θ 59.91, I 24



5.
Starting from a crystal structure in Alexandria, relaxed with GGA-PBE, the X-ray diffraction stick pattern of Ba2TaO2F4 was simulated for Cu Kα (weighted mean of Kα1 and Kα2).
Neutral-atom scattering factors, no anomalous dispersion.

Structural model:
Lattice parameters (Å, degrees): 10.271 6.177 4.527 90.00 92.19 90.00
Space group C2/m (No. 12)
Asymmetric unit:
1 Ba 0.175 0.000 0.280 [4 per cell]
2 Ta 0.000 0.500 0.000 [2 per cell]
3 O 0.165 0.500 0.221 [4 per cell]
4 F 0.071 0.228 0.773 [8 per cell]

Peak list (8 most intense, 10° ≤ 2θ ≤ 90°, in order of rising 2θ)
hkl 2 0 -1, 2θ 25.75, I 50; hkl 1 1 1, 2θ 26.17, I 100; hkl 0 2 0, 2θ 28.91, I 39; hkl 3 1 0, 2θ 29.85, I 73; hkl 2 2 -1, 2θ 39.10, I 53; hkl 4 0 1, 2θ 41.10, I 27; hkl 1 1 -2, 2θ 43.19, I 24; hkl 1 3 1, 2θ 49.59, I 20



6.
Starting from a crystal structure in Alexandria, relaxed with GGA-PBE, the X-ray diffraction stick pattern of Hf2MnCo was simulated for Cu Kα (weighted mean of Kα1 and Kα2).
Neutral-atom scattering factors, no anomalous dispersion.

Structural model:
Lattice parameters (Å, degrees): 6.293 6.293 6.293 90.00 90.00 90.00
Space group Fm-3m (No. 225)
Asymmetric unit:
1 Hf 0.250 0.250 0.250 [8 per cell]
2 Mn 0.000 0.000 0.000 [4 per cell]
3 Co 0.000 0.000 0.500 [4 per cell]

Peak list (7 most intense, 10° ≤ 2θ ≤ 90°, in order of rising 2θ)
hkl 2 0 0, 2θ 28.36, I 31; hkl 2 2 0, 2θ 40.54, I 100; hkl 2 2 2, 2θ 50.22, I 9; hkl 4 0 0, 2θ 58.68, I 17; hkl 4 2 0, 2θ 66.44, I 13; hkl 4 2 2, 2θ 73.76, I 33; hkl 4 4 0, 2θ 87.73, I 11



7.
Starting from a crystal structure in Alexandria, relaxed with GGA-PBE, the X-ray diffraction stick pattern of Y3Co was simulated for Cu Kα (weighted mean of Kα1 and Kα2).
Neutral-atom scattering factors, no anomalous dispersion.

Structural model:
Lattice parameters (Å, degrees): 11.523 11.523 6.168 90.00 90.00 90.00
Space group I-42m (No. 121)
Asymmetric unit:
1 Y 0.000 0.359 0.000 [8 per cell]
2 Y 0.096 0.096 0.747 [8 per cell]
3 Y 0.201 0.201 0.310 [8 per cell]
4 Co 0.000 0.291 0.500 [8 per cell]

Peak list (8 most intense, 10° ≤ 2θ ≤ 90°, in order of rising 2θ)
hkl 1 1 2, 2θ 31.00, I 88; hkl 3 2 1, 2θ 31.53, I 93; hkl 3 3 0, 2θ 32.97, I 68; hkl 4 2 0, 2θ 34.82, I 34; hkl 4 1 1, 2θ 35.26, I 100; hkl 2 2 2, 2θ 36.54, I 41; hkl 6 0 2, 2θ 56.45, I 33; hkl 5 0 3, 2θ 60.35, I 33



8.
Starting from a crystal structure in Alexandria, relaxed with GGA-PBE, the X-ray diffraction stick pattern of AgAu2F8 was simulated for Cu Kα (weighted mean of Kα1 and Kα2).
Neutral-atom scattering factors, no anomalous dispersion.

Structural model:
Lattice parameters (Å, degrees): 5.532 11.372 7.677 90.00 132.59 90.00
Space group P2_1/c (No. 14)
Asymmetric unit:
1 Ag 0.000 0.000 0.000 [2 per cell]
2 Au 0.242 0.180 0.511 [4 per cell]
3 F 0.061 0.725 0.774 [4 per cell]
4 F 0.094 0.031 0.328 [4 per cell]
5 F 0.389 0.174 0.192 [4 per cell]
6 F 0.467 0.587 0.691 [4 per cell]

Peak list (8 most intense, 10° ≤ 2θ ≤ 90°, in order of rising 2θ)
hkl 1 2 -1, 2θ 22.44, I 69; hkl 1 1 0, 2θ 23.20, I 100; hkl 1 1 -2, 2θ 24.48, I 71; hkl 0 3 1, 2θ 28.35, I 89; hkl 0 0 2, 2θ 31.67, I 23; hkl 2 0 -2, 2θ 32.43, I 25; hkl 2 2 -2, 2θ 36.19, I 46; hkl 1 4 1, 2θ 47.61, I 21